Entry 1:
The following is a calculated powder diffraction line list of Sm7VSe8O4. It was derived from a PBE+U-relaxed structure, using copper Kα.
No peak broadening, texture or thermal motion is included.

Largest 12 diffraction maxima, in order of rising 2θ, 10° ≤ 2θ ≤ 90°:
2theta  I_rel
25.8  84
29.7  46
30.8  35
31.0  41
31.3  49
33.9  37
34.1  35
35.5  100
36.9  28
38.1  31
45.5  49
51.8  24

Structural model:
```
data_Sm7VSe8O4
_chemical_formula_sum 'Sm14 V2 Se16 O8'
_symmetry_space_group_name_H-M 'P 1'
_symmetry_Int_Tables_number 1
_symmetry_space_group_name_Hall 'P 1'
_cell_length_a 14.334
_cell_length_b 15.749
_cell_length_c 3.990
_cell_angle_alpha 90.00
_cell_angle_beta 90.00
_cell_angle_gamma 90.00
loop_
_atom_site_label
_atom_site_fract_x
_atom_site_fract_y
_atom_site_fract_z
_atom_site_occupancy
Sm1 0.000 0.000 0.000 1
Sm2 0.007 0.310 0.500 1
Sm3 0.210 0.381 0.000 1
Sm4 0.220 0.165 0.500 1
Sm5 0.280 0.665 0.500 1
Sm6 0.290 0.881 0.000 1
Sm7 0.493 0.810 0.500 1
Sm8 0.500 0.500 0.000 1
Sm9 0.507 0.190 0.500 1
Sm10 0.710 0.119 0.000 1
Sm11 0.720 0.335 0.500 1
Sm12 0.780 0.835 0.500 1
Sm13 0.790 0.619 0.000 1
Sm14 0.993 0.690 0.500 1
V1 0.000 0.500 0.000 1
V2 0.500 0.000 0.000 1
Se1 0.070 0.172 0.000 1
Se2 0.120 0.533 0.500 1
Se3 0.145 0.971 0.500 1
Se4 0.156 0.736 0.000 1
Se5 0.344 0.236 0.000 1
Se6 0.355 0.471 0.500 1
Se7 0.380 0.033 0.500 1
Se8 0.430 0.672 0.000 1
Se9 0.570 0.328 0.000 1
Se10 0.620 0.967 0.500 1
Se11 0.645 0.529 0.500 1
Se12 0.656 0.764 0.000 1
Se13 0.844 0.264 0.000 1
Se14 0.855 0.029 0.500 1
Se15 0.880 0.467 0.500 1
Se16 0.930 0.828 0.000 1
O1 0.046 0.380 0.000 1
O2 0.173 0.312 0.500 1
O3 0.327 0.812 0.500 1
O4 0.454 0.880 0.000 1
O5 0.546 0.120 0.000 1
O6 0.673 0.188 0.500 1
O7 0.827 0.688 0.500 1
O8 0.954 0.620 0.000 1
```

---

Entry 2:
The following is a calculated powder diffraction line list of Eu2W3O12. It was derived from a PBE+U-relaxed structure, using copper Kα.
No peak broadening, texture or thermal motion is included.

Largest 12 diffraction maxima, in order of rising 2θ, 10° ≤ 2θ ≤ 90°:
2theta  I_rel
16.3  16
18.3  24
24.5  29
27.3  100
29.0  70
30.8  27
33.4  16
33.6  16
45.9  15
46.1  21
46.2  21
52.6  15

Structural model:
```
data_Eu2W3O12
_chemical_formula_sum 'Eu4 W6 O24'
_symmetry_space_group_name_H-M 'P 1'
_symmetry_Int_Tables_number 1
_symmetry_space_group_name_Hall 'P 1'
_cell_length_a 7.028
_cell_length_b 7.028
_cell_length_c 11.572
_cell_angle_alpha 100.92
_cell_angle_beta 100.92
_cell_angle_gamma 111.56
loop_
_atom_site_label
_atom_site_fract_x
_atom_site_fract_y
_atom_site_fract_z
_atom_site_occupancy
Eu1 0.045 0.287 0.094 1
Eu2 0.287 0.045 0.594 1
Eu3 0.713 0.955 0.406 1
Eu4 0.955 0.713 0.906 1
W1 0.134 0.866 0.250 1
W2 0.250 0.459 0.451 1
W3 0.459 0.250 0.951 1
W4 0.541 0.750 0.049 1
W5 0.750 0.541 0.549 1
W6 0.866 0.134 0.750 1
O1 0.083 0.662 0.108 1
O2 0.085 0.184 0.460 1
O3 0.105 0.456 0.301 1
O4 0.122 0.209 0.720 1
O5 0.184 0.085 0.960 1
O6 0.209 0.122 0.220 1
O7 0.227 0.660 0.560 1
O8 0.338 0.917 0.392 1
O9 0.340 0.773 0.940 1
O10 0.396 0.472 0.073 1
O11 0.456 0.105 0.801 1
O12 0.472 0.396 0.573 1
O13 0.528 0.604 0.427 1
O14 0.544 0.895 0.199 1
O15 0.604 0.528 0.927 1
O16 0.660 0.227 0.060 1
O17 0.662 0.083 0.608 1
O18 0.773 0.340 0.440 1
O19 0.791 0.878 0.780 1
O20 0.816 0.915 0.040 1
O21 0.878 0.791 0.280 1
O22 0.895 0.544 0.699 1
O23 0.915 0.816 0.540 1
O24 0.917 0.338 0.892 1
```

---

Entry 3:
The following is a calculated powder diffraction line list of Li6CoNiP2C2O14. It was derived from a PBE+U-relaxed structure, using copper Kα.
No peak broadening, texture or thermal motion is included.

Largest 12 diffraction maxima, in order of rising 2θ, 10° ≤ 2θ ≤ 90°:
2theta  I_rel
10.6  87
17.4  33
19.8  38
21.7  60
22.6  18
25.8  18
26.4  35
27.7  100
35.2  17
36.7  31
41.1  26
52.1  18

Structural model:
```
data_Li6CoNiP2C2O14
_chemical_formula_sum 'Li6 Co1 Ni1 P2 C2 O14'
_symmetry_space_group_name_H-M 'P 1'
_symmetry_Int_Tables_number 1
_symmetry_space_group_name_Hall 'P 1'
_cell_length_a 4.993
_cell_length_b 6.435
_cell_length_c 8.425
_cell_angle_alpha 90.00
_cell_angle_beta 95.78
_cell_angle_gamma 90.00
loop_
_atom_site_label
_atom_site_fract_x
_atom_site_fract_y
_atom_site_fract_z
_atom_site_occupancy
Li1 0.000 0.000 0.000 1
Li2 0.055 0.265 0.622 1
Li3 0.055 0.735 0.622 1
Li4 0.525 0.233 0.170 1
Li5 0.525 0.767 0.170 1
Li6 0.577 0.500 0.792 1
Co1 0.577 0.000 0.563 1
Ni1 0.996 0.500 0.228 1
P1 0.060 0.000 0.307 1
P2 0.520 0.500 0.482 1
C1 0.104 0.500 0.938 1
C2 0.473 0.000 0.856 1
O1 0.174 0.500 0.794 1
O2 0.206 0.500 0.459 1
O3 0.286 0.500 0.061 1
O4 0.289 0.000 0.734 1
O5 0.374 0.000 0.329 1
O6 0.403 0.000 0.000 1
O7 0.624 0.313 0.589 1
O8 0.624 0.687 0.589 1
O9 0.627 0.500 0.317 1
O10 0.722 0.000 0.827 1
O11 0.854 0.500 0.967 1
O12 0.954 0.188 0.202 1
O13 0.954 0.812 0.202 1
O14 0.956 0.000 0.474 1
```